[1]
The following is a theoretical PXRD pattern of Pr9Dy3Y2. It was derived from a cell relaxed with GGA-PBE, using Cu Kα X-rays.

Atomic structure:
Lattice parameters (Å, degrees): 9.1066 9.1066 14.1999 90.00 90.00 120.00
Space group P6_3/m (No. 176)
One atom of each set of equivalent atoms:
Pr: 0.0792 0.4815 0.2500
Pr: 0.1320 0.7276 0.0427
Dy: 0.0778 0.2489 0.7500
Y: 0.3333 0.6667 0.6422

Peak list (12 most intense, 2θ from 10° to 90°, by angle)
3.550 Å, intensity 32, (0 0 4); 3.030 Å, intensity 42, (2 0 3); 2.917 Å, intensity 70, (2 1 1); 2.800 Å, intensity 15, (1 1 4); 2.748 Å, intensity 100, (2 1 2); 2.672 Å, intensity 21, (1 0 5); 2.522 Å, intensity 30, (2 1 3); 1.733 Å, intensity 18, (1 3 5); 1.721 Å, intensity 29, (1 4 0); 1.549 Å, intensity 19, (1 4 4); 1.525 Å, intensity 21, (2 1 8); 1.095 Å, intensity 14, (1 4 10)



[2]
The following is a theoretical PXRD pattern of Ag7PS6. It was derived from a cell relaxed with GGA-PBE, using Cu Kα X-rays.

Atomic structure:
Lattice parameters (Å, degrees): 10.5194 10.5194 10.5194 90.00 90.00 90.00
Space group P2_13 (No. 198)
One atom of each set of equivalent atoms:
Ag: 0.0096 0.4875 0.7759
Ag: 0.0722 0.5992 0.2355
Ag: 0.1502 0.8498 0.3498
P: 0.2471 0.7471 0.7529
S: 0.0173 0.9827 0.4827
S: 0.1278 0.6422 0.6360
S: 0.1382 0.1382 0.1382
S: 0.2177 0.2823 0.7177

Peak list (12 most intense, 2θ from 10° to 90°, by angle)
6.073 Å, intensity 35, (1 1 1); 3.506 Å, intensity 39, (2 2 1); 3.037 Å, intensity 100, (2 2 2); 2.918 Å, intensity 37, (3 0 2); 2.811 Å, intensity 47, (3 1 2); 2.479 Å, intensity 57, (4 1 1); 2.352 Å, intensity 25, (4 2 0); 2.296 Å, intensity 29, (4 1 2); 2.063 Å, intensity 25, (5 0 1); 2.024 Å, intensity 30, (3 3 3); 1.921 Å, intensity 22, (5 2 1); 1.860 Å, intensity 29, (4 4 0)